This entry pairs a crystal structure of U4Be2C5 with its theoretical X-ray diffraction stick pattern. Radiation: λ = 1.5418 Å (Cu Kα). Structure: a cell relaxed with PBE.
Lines closer than 0.1° are merged.

Cell and atoms:
Unit cell a=6.667 b=6.667 c=5.000 alpha=90.00 beta=90.00 gamma=135.74
Atoms (fractional coordinates):
U  0.148  0.852  0.000
U  0.339  0.661  0.500
U  0.661  0.339  0.500
U  0.852  0.148  0.000
Be  0.000  0.000  0.500
Be  0.500  0.500  0.000
C  0.147  0.853  0.500
C  0.347  0.653  0.000
C  0.500  0.500  0.500
C  0.653  0.347  0.000
C  0.853  0.147  0.500

Largest 10 diffraction maxima, most intense first, 2θ = 15–90°:
| d (Å) | intensity |
| --- | --- |
| 2.686 | 100.0 |
| 3.406 | 60.4 |
| 2.512 | 28.1 |
| 2.500 | 27.7 |
| 3.088 | 22.9 |
| 1.772 | 19.8 |
| 1.476 | 18.5 |
| 1.481 | 17.7 |
| 1.580 | 15.5 |
| 1.948 | 12.7 |

***

This entry pairs a crystal structure of Mn7CoSb4 with its theoretical X-ray diffraction stick pattern. Radiation: λ = 1.5418 Å (Cu Kα). Structure: a cell relaxed with PBE.
Lines closer than 0.1° are merged.

Cell and atoms:
Unit cell a=3.950 b=3.950 c=12.839 alpha=90.00 beta=90.00 gamma=90.00
Atoms (fractional coordinates):
Mn  0.000  0.000  0.000
Mn  0.000  0.000  0.500
Mn  0.000  0.500  0.136
Mn  0.000  0.500  0.643
Mn  0.500  0.000  0.357
Mn  0.500  0.000  0.864
Mn  0.500  0.500  0.500
Co  0.500  0.500  0.000
Sb  0.000  0.500  0.356
Sb  0.000  0.500  0.856
Sb  0.500  0.000  0.144
Sb  0.500  0.000  0.644

Largest 10 diffraction maxima, most intense first, 2θ = 15–90°:
| d (Å) | intensity |
| --- | --- |
| 2.107 | 100.0 |
| 1.975 | 47.7 |
| 2.561 | 35.9 |
| 2.793 | 34.7 |
| 3.364 | 30.0 |
| 1.164 | 26.8 |
| 3.210 | 18.2 |
| 1.451 | 16.7 |
| 2.140 | 15.5 |
| 1.397 | 14.5 |

***

This entry pairs a crystal structure of Zr2SiTe2 with its theoretical X-ray diffraction stick pattern. Radiation: λ = 1.5418 Å (Cu Kα). Structure: a cell relaxed with PBE.
Lines closer than 0.1° are merged.

Cell and atoms:
Unit cell a=3.028 b=3.028 c=15.376 alpha=90.00 beta=90.00 gamma=90.00
Atoms (fractional coordinates):
Zr  0.000  0.000  0.173
Zr  0.000  0.000  0.827
Si  0.000  0.000  0.000
Te  0.000  0.000  0.365
Te  0.000  0.000  0.635

Largest 10 diffraction maxima, most intense first, 2θ = 15–90°:
| d (Å) | intensity |
| --- | --- |
| 3.028 | 100.0 |
| 2.141 | 37.0 |
| 2.379 | 36.4 |
| 3.844 | 32.7 |
| 2.158 | 24.8 |
| 1.956 | 23.6 |
| 1.871 | 17.6 |
| 3.075 | 17.2 |
| 1.354 | 16.4 |
| 1.643 | 13.3 |

***

What is the formula in the third record?
Zr2SiTe2

***

What did the third record say?
This entry pairs a crystal structure of Zr2SiTe2 with its theoretical X-ray diffraction stick pattern. Radiation: λ = 1.5418 Å (Cu Kα). Structure: a cell relaxed with PBE.
Lines closer than 0.1° are merged.

Cell and atoms:
Unit cell a=3.028 b=3.028 c=15.376 alpha=90.00 beta=90.00 gamma=90.00
Atoms (fractional coordinates):
Zr  0.000  0.000  0.173
Zr  0.000  0.000  0.827
Si  0.000  0.000  0.000
Te  0.000  0.000  0.365
Te  0.000  0.000  0.635

Largest 10 diffraction maxima, most intense first, 2θ = 15–90°:
| d (Å) | intensity |
| --- | --- |
| 3.028 | 100.0 |
| 2.141 | 37.0 |
| 2.379 | 36.4 |
| 3.844 | 32.7 |
| 2.158 | 24.8 |
| 1.956 | 23.6 |
| 1.871 | 17.6 |
| 3.075 | 17.2 |
| 1.354 | 16.4 |
| 1.643 | 13.3 |

***

Number 3 is which compound?
Zr2SiTe2